Structure and calculated powder X-ray diffraction pattern of Tb5Nd2Tl (a crystal structure in Alexandria, relaxed with PBE; Cu Kα, 1.54184 Å).
Intensities are scaled so that the largest is 100.

Most intense lines, 2θ from 15° to 90°, in order of falling intensity:
(hkl)	2θ/deg	d (Å)	I_rel
2 2 0	30.9	2.893	100
2 0 2	36.0	2.494	33
4 2 2	61.6	1.506	28
2 4 2	51.5	1.776	24
0 4 0	35.5	2.529	17
2 6 0	60.9	1.521	15

Structural model:
abc: 7.0554 10.1158 7.0556
angles: 90.00 90.00 90.00
Space group Imm2 (No. 44)
Unique sites:
Tb1 0.0000 0.0000 0.0000 x2
Tb2 0.2500 0.2493 0.7498 x8
Nd1 0.0000 0.0000 0.4993 x2
Nd2 0.0000 0.5000 0.5012 x2
Tl1 0.0000 0.5000 0.0004 x2